Structure and calculated X-ray powder pattern of Ba5SrLa2Fe4O15 (a DFT-relaxed cell (GGA+U, Alexandria); Cu Kα (weighted mean of Kα1 and Kα2)).
Intensities are scaled so that the largest is 100.

Structural model:
abc: 11.927 20.595 7.114
angles: 90.00 90.28 90.00
Space group Cc (No. 9)
Asymmetric unit:
Ba: 0.000 0.000 0.000 [4 per cell]
Ba: 0.001 0.176 0.346 [4 per cell]
Ba: 0.238 0.411 0.347 [4 per cell]
Ba: 0.260 0.089 0.838 [4 per cell]
Ba: 0.499 0.168 0.536 [4 per cell]
Sr: 0.217 0.262 0.673 [4 per cell]
La: 0.001 0.478 0.670 [4 per cell]
La: 0.283 0.239 0.176 [4 per cell]
Fe: 0.001 0.334 0.495 [4 per cell]
Fe: 0.003 0.180 0.842 [4 per cell]
Fe: 0.231 0.410 0.845 [4 per cell]
Fe: 0.270 0.088 0.339 [4 per cell]
O: 0.001 0.416 0.344 [4 per cell]
O: 0.010 0.098 0.730 [4 per cell]
O: 0.120 0.294 0.341 [4 per cell]
O: 0.122 0.377 0.666 [4 per cell]
O: 0.132 0.197 0.992 [4 per cell]
O: 0.137 0.468 0.979 [4 per cell]
O: 0.149 0.045 0.234 [4 per cell]
O: 0.233 0.165 0.470 [4 per cell]
O: 0.270 0.337 0.992 [4 per cell]
O: 0.354 0.450 0.735 [4 per cell]
O: 0.367 0.033 0.476 [4 per cell]
O: 0.369 0.303 0.471 [4 per cell]
O: 0.376 0.123 0.161 [4 per cell]
O: 0.382 0.206 0.850 [4 per cell]
O: 0.498 0.248 0.167 [4 per cell]

Top 12 peaks for 5 to 70 degrees two-theta, sorted by position:
- d = 3.416 Å, intensity 12
- d = 3.058 Å, intensity 14
- d = 3.049 Å, intensity 16
- d = 2.977 Å, intensity 100
- d = 2.931 Å, intensity 27
- d = 2.923 Å, intensity 12
- d = 2.632 Å, intensity 10
- d = 2.478 Å, intensity 11
- d = 2.469 Å, intensity 22
- d = 2.085 Å, intensity 10
- d = 1.900 Å, intensity 14
- d = 1.720 Å, intensity 10